Record 1
Starting from the GGA-PBE geometry in Alexandria, the powder diffractogram of K3CaAc2O6 was computed for Cu Kα (weighted mean of Kα1 and Kα2).

Structural model:
abc: 6.4916 6.4916 6.6882
angles: 99.11 99.11 120.20
Fractional positions:
K 0.0000 0.0000 0.0000
K 0.3409 0.6591 0.0000
K 0.6591 0.3409 0.0000
Ca 0.5000 0.5000 0.5000
Ac 0.1667 0.8333 0.5000
Ac 0.8333 0.1667 0.5000
O 0.1051 0.4337 0.3019
O 0.2362 0.2362 0.6962
O 0.4337 0.1051 0.3019
O 0.5663 0.8949 0.6981
O 0.7638 0.7638 0.3038
O 0.8949 0.5663 0.6981

Largest 12 diffraction maxima, sorted by position, 2θ from 15° to 90°:
2theta	d [Å]	I (rel.)
16.5	5.388	28.7
18.4	4.823	24.4
27.9	3.201	34.9
28.1	3.171	39.2
29.1	3.069	100.0
33.4	2.684	89.1
33.6	2.669	43.9
36.4	2.468	21.1
47.5	1.916	29.6
48.7	1.870	30.1
57.0	1.615	28.0
60.3	1.535	23.5

=====

Record 2
Starting from the GGA-PBE geometry in Alexandria, the powder diffractogram of Y2BiH3 was computed for Cu Kα (weighted mean of Kα1 and Kα2).

Structural model:
abc: 7.6737 7.6737 7.2449
angles: 113.53 113.53 29.72
Fractional positions:
Y 0.0290 0.0290 0.2708
Y 0.3027 0.3027 0.3296
Y 0.6973 0.6973 0.6704
Y 0.9710 0.9710 0.7292
Bi 0.3647 0.3647 0.9531
Bi 0.6353 0.6353 0.0469
H 0.0941 0.0941 0.6210
H 0.1919 0.1919 0.4717
H 0.4387 0.4387 0.5935
H 0.5613 0.5613 0.4065
H 0.8081 0.8081 0.5283
H 0.9059 0.9059 0.3790

Largest 12 diffraction maxima, sorted by position, 2θ from 15° to 90°:
2theta	d [Å]	I (rel.)
28.5	3.127	33.5
29.0	3.080	69.7
30.2	2.964	100.0
33.9	2.641	83.9
34.5	2.602	37.0
38.0	2.369	30.7
46.1	1.968	22.8
49.5	1.841	20.5
55.4	1.658	22.8
58.7	1.573	17.4
60.0	1.541	25.6
63.4	1.467	16.7